# TmBe3As3
Computed powder diffractogram, a wavelength of 1.5418 Å. Input: a DFT-relaxed cell (GGA-PBE, Alexandria).
Peak positions follow from Bragg's law for the DFT cell and can differ from measured ones.

Peak list (12 most intense, 2θ = 15–90°, sorted by position)
Position (°2θ)  d [Å]  intensity  h k l
16.11  5.502  20  1 0 1
17.93  4.948  17  0 1 2
30.27  2.952  100  2 -1 3
38.73  2.325  58  1 1 6
47.59  1.911  35  3 0 0
50.15  1.819  19  1 1 9
57.45  1.604  16  2 2 3
62.96  1.476  14  4 -2 6
64.92  1.436  11  3 0 9
76.77  1.242  12  3 0 12
77.73  1.229  13  5 -1 3
82.59  1.168  13  4 1 6

Atomic structure:
```
data_TmBe3As3
_space_group_name_H-M_alt 'R -3'
_space_group_IT_number 148
_space_group_name_Hall '-R 3'
_cell_length_a 6.6194
_cell_length_b 6.6194
_cell_length_c 19.5991
_cell_angle_alpha 90.00
_cell_angle_beta 90.00
_cell_angle_gamma 120.00
loop_
_atom_site_label
_atom_site_type_symbol
_atom_site_fract_x
_atom_site_fract_y
_atom_site_fract_z
Tm1 Tm 0.0000 0.0000 0.1662
Be1 Be 0.0024 0.6723 0.9576
As1 As 0.0010 0.6735 0.4104
```